[1]
Simulated XRD peak list
Compound: MgTe4MoW2S2
Radiation: copper Kα
Structure: a crystal structure in the Materials Project, relaxed with GGA-PBE

The 12 most intense peaks (2θ = 15–90°), in order of rising 2θ:
30.27°, rel. 745, (2 0 0)
31.65°, rel. 400, (2 0 -4)
33.33°, rel. 564, (1 1 6)
34.38°, rel. 532, (2 0 7)
36.85°, rel. 345, (2 0 9)
38.25°, rel. 624, (2 0 -10)
39.75°, rel. 1000, (2 0 11)
43.02°, rel. 312, (1 1 13)
46.59°, rel. 216, (1 1 -15)
53.75°, rel. 500, (3 1 0)
54.63°, rel. 266, (3 1 -4)
68.89°, rel. 195, (2 2 11)

Cell and atoms:
a b c (Å): 5.907 3.412 38.912
angles (deg): 90.00 90.04 90.00
Space group Cm (No. 8)
Inequivalent atoms, fractional coordinates:
Mg: 0.000 0.000 0.000 [2 per cell]
Te: 0.333 0.000 0.294 [2 per cell]
Te: 0.333 0.000 0.389 [2 per cell]
Te: 0.333 0.000 0.824 [2 per cell]
Te: 0.334 0.000 0.921 [2 per cell]
Mo: 0.167 0.500 0.342 [2 per cell]
W: 0.167 0.500 0.873 [2 per cell]
W: 0.333 0.000 0.120 [2 per cell]
S: 0.167 0.500 0.081 [2 per cell]
S: 0.167 0.500 0.159 [2 per cell]

***

[2]
Simulated XRD peak list
Compound: MgTe4Mo2W2S4
Radiation: copper Kα
Structure: a crystal structure in the Materials Project, relaxed with GGA-PBE

The 12 most intense peaks (2θ = 15–90°), in order of rising 2θ:
30.72°, rel. 450, (1 0 0)
32.29°, rel. 292, (1 0 5)
32.97°, rel. 222, (0 1 6)
34.63°, rel. 864, (1 0 8)
36.67°, rel. 291, (1 0 10)
37.81°, rel. 463, (1 0 11)
40.32°, rel. 1000, (1 0 13)
41.72°, rel. 200, (0 0 21)
43.10°, rel. 200, (0 1 15)
54.61°, rel. 356, (1 1 0)
55.62°, rel. 202, (1 1 5)
70.03°, rel. 204, (0 2 13)

Cell and atoms:
a b c (Å): 3.3610 3.3610 45.4396
angles (deg): 90.00 90.00 120.00
Space group P3m1 (No. 156)
Inequivalent atoms, fractional coordinates:
Mg: 0.0000 0.0000 0.0000 [1 per cell]
Te: 0.3333 0.6667 0.0709 [1 per cell]
Te: 0.3333 0.6667 0.1546 [1 per cell]
Te: 0.6667 0.3333 0.5001 [1 per cell]
Te: 0.6667 0.3333 0.5838 [1 per cell]
Mo: 0.3333 0.6667 0.9105 [1 per cell]
Mo: 0.6667 0.3333 0.7298 [1 per cell]
W: 0.3333 0.6667 0.5419 [1 per cell]
W: 0.6667 0.3333 0.1129 [1 per cell]
S: 0.3333 0.6667 0.6966 [1 per cell]
S: 0.3333 0.6667 0.7631 [1 per cell]
S: 0.6667 0.3333 0.8775 [1 per cell]
S: 0.6667 0.3333 0.9444 [1 per cell]